1.
Starting from DFT lattice parameters and positions (GGA-PBE), the PXRD pattern of Mg4Tl4Pb3 was simulated for Cu Ka.
No peak broadening, texture or thermal motion is included.

Main lines, by angle (15° ≤ 2θ ≤ 90°):
| d (Å) | 2θ/deg | I/Imax |
| --- | --- | --- |
| 4.708 | 18.85 | 26 |
| 3.383 | 26.34 | 36 |
| 3.243 | 27.50 | 14 |
| 3.055 | 29.24 | 25 |
| 2.968 | 30.11 | 20 |
| 2.683 | 33.39 | 100 |
| 2.671 | 33.55 | 30 |
| 2.542 | 35.31 | 33 |
| 1.665 | 55.16 | 14 |
| 1.493 | 62.18 | 26 |

Atomic structure:
```
data_Mg4Tl4Pb3
_space_group_name_H-M_alt 'A m m 2'
_space_group_IT_number 38
_space_group_name_Hall 'A 2 -2'
_cell_length_a 9.730
_cell_length_b 5.084
_cell_length_c 12.465
_cell_angle_alpha 90.00
_cell_angle_beta 90.00
_cell_angle_gamma 90.00
loop_
_atom_site_label
_atom_site_fract_x
_atom_site_fract_y
_atom_site_fract_z
Mg1 0.000 0.000 0.000
Mg2 0.217 0.000 0.815
Mg3 0.500 0.000 0.961
Tl1 0.000 0.000 0.625
Tl2 0.274 0.000 0.150
Tl3 0.500 0.000 0.701
Pb1 0.000 0.000 0.327
Pb2 0.310 0.000 0.454
```

***

2.
Starting from DFT lattice parameters and positions (GGA-PBE), the PXRD pattern of LiTmVTc was simulated for Cu Ka.
No peak broadening, texture or thermal motion is included.

Main lines, by angle (15° ≤ 2θ ≤ 90°):
| d (Å) | 2θ/deg | I/Imax |
| --- | --- | --- |
| 3.722 | 23.91 | 54 |
| 3.224 | 27.67 | 16 |
| 2.279 | 39.54 | 100 |
| 1.944 | 46.73 | 28 |
| 1.612 | 57.15 | 17 |
| 1.479 | 62.83 | 12 |
| 1.442 | 64.66 | 6 |
| 1.316 | 71.72 | 33 |
| 1.241 | 76.83 | 9 |
| 1.140 | 85.13 | 11 |

Atomic structure:
```
data_LiTmVTc
_space_group_name_H-M_alt 'F -4 3 m'
_space_group_IT_number 216
_space_group_name_Hall 'F -4 2 3'
_cell_length_a 6.447
_cell_length_b 6.447
_cell_length_c 6.447
_cell_angle_alpha 90.00
_cell_angle_beta 90.00
_cell_angle_gamma 90.00
loop_
_atom_site_label
_atom_site_fract_x
_atom_site_fract_y
_atom_site_fract_z
Li1 0.000 0.000 0.000
Tm1 0.250 0.250 0.750
V1 0.250 0.250 0.250
Tc1 0.000 0.000 0.500
```

***

3.
Starting from DFT lattice parameters and positions (GGA-PBE), the PXRD pattern of SmThTi2O8 was simulated for Cu Ka.
No peak broadening, texture or thermal motion is included.

Main lines, by angle (15° ≤ 2θ ≤ 90°):
| d (Å) | 2θ/deg | I/Imax |
| --- | --- | --- |
| 4.784 | 18.55 | 47 |
| 3.120 | 28.61 | 100 |
| 2.858 | 31.30 | 14 |
| 2.634 | 34.04 | 20 |
| 2.307 | 39.04 | 19 |
| 2.004 | 45.26 | 14 |
| 1.937 | 46.91 | 31 |
| 1.696 | 54.06 | 17 |
| 1.599 | 57.65 | 28 |
| 1.560 | 59.23 | 15 |

Atomic structure:
```
data_SmThTi2O8
_space_group_name_H-M_alt 'I -4'
_space_group_IT_number 82
_space_group_name_Hall 'I -4'
_cell_length_a 5.267
_cell_length_b 5.267
_cell_length_c 11.432
_cell_angle_alpha 90.00
_cell_angle_beta 90.00
_cell_angle_gamma 90.00
loop_
_atom_site_label
_atom_site_fract_x
_atom_site_fract_y
_atom_site_fract_z
Sm1 0.000 0.000 0.000
Th1 0.000 0.500 0.750
Ti1 0.000 0.000 0.500
Ti2 0.000 0.500 0.250
O1 0.159 0.254 0.585
O2 0.159 0.756 0.167
```